1.
Calculated XRD peak list of CaSO6 for Cu Kα, 1.54184 Å, from a crystal structure in the Materials Project, relaxed with GGA-PBE.

Structure:
Unit cell a=10.092 b=10.092 c=4.923 alpha=97.22 beta=97.22 gamma=145.00
Fractional coordinates of all 16 atoms:
Ca  0.185  0.815  0.750
Ca  0.815  0.185  0.250
S  0.327  0.673  0.250
S  0.673  0.327  0.750
O  0.034  0.095  0.387
O  0.095  0.034  0.887
O  0.152  0.415  0.065
O  0.202  0.639  0.440
O  0.361  0.798  0.060
O  0.415  0.152  0.565
O  0.585  0.848  0.435
O  0.639  0.202  0.940
O  0.798  0.361  0.560
O  0.848  0.585  0.935
O  0.905  0.966  0.113
O  0.966  0.905  0.613

Most intense lines, 5 to 70 degrees two-theta, low angle first:
| d/Å | Position (°2θ) | I (rel.) |
| --- | --- | --- |
| 9.625 | 9.19 | 100 |
| 5.300 | 16.73 | 9 |
| 4.182 | 21.25 | 21 |
| 4.055 | 21.92 | 73 |
| 3.276 | 27.22 | 27 |
| 3.208 | 27.81 | 14 |
| 2.931 | 30.50 | 16 |
| 2.833 | 31.58 | 15 |
| 2.756 | 32.48 | 13 |
| 1.848 | 49.32 | 16 |

=====

2.
Calculated XRD peak list of Ca2S2O9 for Cu Kα, 1.54184 Å, from a crystal structure in the Materials Project, relaxed with GGA-PBE.

Structure:
Unit cell a=7.069 b=7.069 c=12.773 alpha=90.00 beta=90.00 gamma=120.00
Fractional coordinates of all 39 atoms:
Ca  0.137  0.802  0.000
Ca  0.145  0.805  0.499
Ca  0.195  0.339  0.832
Ca  0.198  0.336  0.333
Ca  0.661  0.855  0.166
Ca  0.664  0.863  0.667
S  0.123  0.790  0.252
S  0.123  0.797  0.751
S  0.203  0.326  0.085
S  0.210  0.333  0.586
S  0.667  0.877  0.919
S  0.674  0.877  0.418
O  0.010  0.198  0.154
O  0.020  0.201  0.655
O  0.079  0.611  0.822
O  0.082  0.606  0.323
O  0.159  0.462  0.009
O  0.160  0.464  0.510
O  0.181  0.980  0.322
O  0.188  0.990  0.820
O  0.254  0.184  0.019
O  0.263  0.189  0.522
O  0.303  0.841  0.676
O  0.304  0.840  0.177
O  0.389  0.468  0.155
O  0.394  0.476  0.656
O  0.524  0.918  0.990
O  0.532  0.921  0.488
O  0.536  0.696  0.844
O  0.538  0.697  0.343
O  0.554  0.360  0.361
O  0.640  0.194  0.695
O  0.799  0.819  0.989
O  0.802  0.812  0.487
O  0.806  0.446  0.028
O  0.811  0.074  0.855
O  0.816  0.071  0.353
O  0.926  0.737  0.188
O  0.929  0.746  0.686

Most intense lines, 5 to 70 degrees two-theta, low angle first:
| d/Å | Position (°2θ) | I (rel.) |
| --- | --- | --- |
| 6.122 | 14.47 | 100 |
| 3.534 | 25.20 | 37 |
| 3.092 | 28.87 | 11 |
| 3.061 | 29.18 | 85 |
| 2.831 | 31.60 | 83 |
| 2.760 | 32.44 | 10 |
| 2.175 | 41.51 | 14 |
| 1.944 | 46.73 | 12 |
| 1.874 | 48.59 | 55 |
| 1.719 | 53.28 | 26 |

=====

3.
Calculated XRD peak list of CaSO6 for Cu Kα, 1.54184 Å, from a crystal structure in the Materials Project, relaxed with GGA-PBE.

Structure:
Unit cell a=5.735 b=18.228 c=6.716 alpha=90.00 beta=123.00 gamma=90.00
Fractional coordinates of all 32 atoms:
Ca  0.248  0.193  0.494
Ca  0.248  0.307  0.994
Ca  0.752  0.693  0.006
Ca  0.752  0.807  0.506
S  0.252  0.675  0.505
S  0.252  0.825  0.005
S  0.748  0.175  0.995
S  0.748  0.325  0.495
O  0.005  0.724  0.431
O  0.005  0.776  0.931
O  0.058  0.022  0.583
O  0.058  0.478  0.083
O  0.174  0.631  0.294
O  0.174  0.869  0.794
O  0.327  0.632  0.719
O  0.327  0.868  0.219
O  0.442  0.021  0.415
O  0.442  0.479  0.915
O  0.498  0.223  0.922
O  0.498  0.277  0.422
O  0.502  0.723  0.578
O  0.502  0.777  0.078
O  0.558  0.521  0.085
O  0.558  0.979  0.585
O  0.673  0.132  0.781
O  0.673  0.368  0.281
O  0.826  0.131  0.206
O  0.826  0.369  0.706
O  0.942  0.522  0.917
O  0.942  0.978  0.417
O  0.995  0.224  0.069
O  0.995  0.276  0.569

Most intense lines, 5 to 70 degrees two-theta, low angle first:
| d/Å | Position (°2θ) | I (rel.) |
| --- | --- | --- |
| 9.114 | 9.70 | 100 |
| 4.634 | 19.15 | 96 |
| 4.131 | 21.51 | 22 |
| 3.477 | 25.62 | 54 |
| 3.038 | 29.40 | 10 |
| 2.816 | 31.77 | 12 |
| 2.806 | 31.89 | 17 |
| 2.580 | 34.77 | 11 |
| 1.982 | 45.77 | 13 |
| 1.919 | 47.37 | 10 |

=====

4.
Calculated XRD peak list of Ca2S2O7 for Cu Kα, 1.54184 Å, from a crystal structure in the Materials Project, relaxed with GGA-PBE.

Structure:
Unit cell a=11.044 b=5.700 c=9.907 alpha=90.00 beta=90.00 gamma=90.00
Fractional coordinates of all 44 atoms:
Ca  0.131  0.070  0.129
Ca  0.131  0.930  0.629
Ca  0.369  0.430  0.629
Ca  0.369  0.570  0.129
Ca  0.631  0.430  0.871
Ca  0.631  0.570  0.371
Ca  0.869  0.070  0.371
Ca  0.869  0.930  0.871
S  0.125  0.377  0.867
S  0.125  0.623  0.367
S  0.375  0.123  0.367
S  0.375  0.877  0.867
S  0.625  0.123  0.133
S  0.625  0.877  0.633
S  0.875  0.377  0.633
S  0.875  0.623  0.133
O  0.000  0.311  0.250
O  0.000  0.689  0.750
O  0.042  0.173  0.905
O  0.042  0.827  0.405
O  0.199  0.293  0.748
O  0.199  0.707  0.248
O  0.208  0.405  0.988
O  0.208  0.595  0.488
O  0.292  0.095  0.488
O  0.292  0.905  0.988
O  0.301  0.207  0.248
O  0.301  0.793  0.748
O  0.458  0.327  0.405
O  0.458  0.673  0.905
O  0.500  0.189  0.750
O  0.500  0.811  0.250
O  0.542  0.327  0.095
O  0.542  0.673  0.595
O  0.699  0.207  0.252
O  0.699  0.793  0.752
O  0.708  0.095  0.012
O  0.708  0.905  0.512
O  0.792  0.405  0.512
O  0.792  0.595  0.012
O  0.801  0.293  0.752
O  0.801  0.707  0.252
O  0.958  0.173  0.595
O  0.958  0.827  0.095

Most intense lines, 5 to 70 degrees two-theta, low angle first:
| d/Å | Position (°2θ) | I (rel.) |
| --- | --- | --- |
| 3.682 | 24.17 | 72 |
| 3.096 | 28.84 | 100 |
| 2.763 | 32.40 | 18 |
| 2.739 | 32.70 | 20 |
| 2.537 | 35.37 | 14 |
| 2.258 | 39.93 | 15 |
| 1.944 | 46.71 | 19 |
| 1.844 | 49.43 | 21 |
| 1.768 | 51.71 | 12 |
| 1.651 | 55.66 | 16 |

=====

5.
Calculated XRD peak list of CaSO6 for Cu Kα, 1.54184 Å, from a crystal structure in the Materials Project, relaxed with GGA-PBE.

Structure:
Unit cell a=8.178 b=8.178 c=6.329 alpha=107.98 beta=107.98 gamma=113.64
Fractional coordinates of all 16 atoms:
Ca  0.239  0.761  0.000
Ca  0.761  0.239  0.000
S  0.249  0.751  0.500
S  0.751  0.249  0.500
O  0.045  0.955  0.000
O  0.079  0.495  0.089
O  0.089  0.716  0.578
O  0.284  0.911  0.422
O  0.455  0.545  0.000
O  0.495  0.079  0.089
O  0.505  0.921  0.911
O  0.545  0.455  0.000
O  0.716  0.089  0.578
O  0.911  0.284  0.422
O  0.921  0.505  0.911
O  0.955  0.045  0.000

Most intense lines, 5 to 70 degrees two-theta, low angle first:
| d/Å | Position (°2θ) | I (rel.) |
| --- | --- | --- |
| 6.844 | 12.93 | 100 |
| 5.226 | 16.97 | 9 |
| 3.700 | 24.05 | 28 |
| 3.422 | 26.04 | 19 |
| 2.613 | 34.32 | 16 |
| 2.511 | 35.76 | 8 |
| 2.441 | 36.82 | 7 |
| 2.305 | 39.08 | 6 |
| 2.205 | 40.93 | 5 |
| 2.077 | 43.58 | 7 |

=====

6.
Calculated XRD peak list of Ca2S2O9 for Cu Kα, 1.54184 Å, from a crystal structure in the Materials Project, relaxed with GGA-PBE.

Structure:
Unit cell a=7.055 b=7.055 c=12.771 alpha=90.00 beta=90.00 gamma=120.00
Fractional coordinates of all 39 atoms:
Ca  0.000  0.466  0.167
Ca  0.000  0.479  0.667
Ca  0.466  0.000  0.833
Ca  0.479  0.000  0.333
Ca  0.521  0.521  0.000
Ca  0.534  0.534  0.500
S  0.007  0.465  0.417
S  0.458  0.993  0.083
S  0.465  0.007  0.583
S  0.535  0.542  0.750
S  0.542  0.535  0.250
S  0.993  0.458  0.917
O  0.000  0.113  0.167
O  0.113  0.000  0.833
O  0.124  0.647  0.844
O  0.138  0.413  0.984
O  0.139  0.651  0.344
O  0.147  0.416  0.485
O  0.269  0.853  0.152
O  0.274  0.862  0.650
O  0.349  0.488  0.677
O  0.353  0.477  0.178
O  0.413  0.138  0.016
O  0.416  0.147  0.515
O  0.477  0.353  0.822
O  0.488  0.349  0.323
O  0.512  0.861  0.011
O  0.523  0.876  0.511
O  0.584  0.731  0.819
O  0.587  0.726  0.317
O  0.647  0.124  0.156
O  0.651  0.139  0.656
O  0.726  0.587  0.683
O  0.731  0.584  0.181
O  0.853  0.269  0.848
O  0.861  0.512  0.989
O  0.862  0.274  0.350
O  0.876  0.523  0.489
O  0.887  0.887  0.500

Most intense lines, 5 to 70 degrees two-theta, low angle first:
| d/Å | Position (°2θ) | I (rel.) |
| --- | --- | --- |
| 6.110 | 14.50 | 100 |
| 3.528 | 25.25 | 34 |
| 3.088 | 28.92 | 12 |
| 3.055 | 29.23 | 90 |
| 2.830 | 31.62 | 84 |
| 2.172 | 41.59 | 14 |
| 2.129 | 42.47 | 10 |
| 1.940 | 46.82 | 13 |
| 1.871 | 48.66 | 54 |
| 1.717 | 53.36 | 29 |

=====

7.
Calculated XRD peak list of Ca2S2O9 for Cu Kα, 1.54184 Å, from a crystal structure in the Materials Project, relaxed with GGA-PBE.

Structure:
Unit cell a=9.504 b=9.504 c=12.201 alpha=129.86 beta=129.86 gamma=43.57
Fractional coordinates of all 39 atoms:
Ca  0.000  0.000  0.000
Ca  0.037  0.633  0.566
Ca  0.367  0.963  0.434
Ca  0.518  0.482  0.500
Ca  0.566  0.102  0.075
Ca  0.898  0.434  0.925
S  0.131  0.697  0.186
S  0.271  0.228  0.249
S  0.303  0.869  0.814
S  0.619  0.219  0.690
S  0.772  0.729  0.751
S  0.781  0.381  0.310
O  0.012  0.310  0.410
O  0.077  0.284  0.113
O  0.142  0.834  0.173
O  0.159  0.110  0.576
O  0.166  0.858  0.827
O  0.226  0.100  0.865
O  0.228  0.420  0.389
O  0.236  0.468  0.088
O  0.242  0.717  0.350
O  0.283  0.758  0.650
O  0.315  0.044  0.250
O  0.350  0.650  0.000
O  0.384  0.337  0.654
O  0.462  0.170  0.246
O  0.532  0.764  0.912
O  0.580  0.772  0.611
O  0.663  0.616  0.346
O  0.672  0.306  0.661
O  0.690  0.988  0.590
O  0.694  0.328  0.339
O  0.716  0.923  0.887
O  0.740  0.239  0.853
O  0.761  0.260  0.147
O  0.830  0.538  0.754
O  0.890  0.841  0.424
O  0.900  0.774  0.135
O  0.956  0.685  0.750

Most intense lines, 5 to 70 degrees two-theta, low angle first:
| d/Å | Position (°2θ) | I (rel.) |
| --- | --- | --- |
| 6.104 | 14.51 | 100 |
| 3.524 | 25.27 | 37 |
| 3.086 | 28.94 | 11 |
| 3.052 | 29.26 | 88 |
| 2.829 | 31.62 | 85 |
| 2.754 | 32.51 | 10 |
| 2.170 | 41.62 | 14 |
| 1.939 | 46.86 | 12 |
| 1.870 | 48.69 | 55 |
| 1.716 | 53.39 | 26 |

=====

8.
Calculated XRD peak list of CaS3O10 for Cu Kα, 1.54184 Å, from a crystal structure in the Materials Project, relaxed with GGA-PBE.

Structure:
Unit cell a=8.618 b=9.210 c=13.225 alpha=90.00 beta=129.17 gamma=90.00
Fractional coordinates of all 56 atoms:
Ca  0.226  0.226  0.023
Ca  0.226  0.274  0.523
Ca  0.774  0.726  0.477
Ca  0.774  0.774  0.977
S  0.056  0.077  0.212
S  0.056  0.423  0.712
S  0.295  0.614  0.139
S  0.295  0.886  0.639
S  0.351  0.667  0.501
S  0.351  0.833  0.001
S  0.649  0.167  0.999
S  0.649  0.333  0.499
S  0.705  0.114  0.361
S  0.705  0.386  0.861
S  0.944  0.577  0.288
S  0.944  0.923  0.788
O  0.002  0.574  0.672
O  0.002  0.926  0.172
O  0.093  0.659  0.078
O  0.093  0.841  0.578
O  0.123  0.156  0.152
O  0.123  0.344  0.652
O  0.161  0.106  0.349
O  0.161  0.394  0.849
O  0.173  0.656  0.349
O  0.173  0.844  0.849
O  0.320  0.565  0.570
O  0.320  0.935  0.070
O  0.324  0.040  0.633
O  0.324  0.460  0.133
O  0.332  0.672  0.030
O  0.332  0.828  0.530
O  0.451  0.686  0.260
O  0.451  0.814  0.760
O  0.470  0.162  0.985
O  0.470  0.338  0.485
O  0.530  0.662  0.515
O  0.530  0.838  0.015
O  0.549  0.186  0.240
O  0.549  0.314  0.740
O  0.668  0.172  0.470
O  0.668  0.328  0.970
O  0.676  0.540  0.867
O  0.676  0.960  0.367
O  0.680  0.065  0.930
O  0.680  0.435  0.430
O  0.827  0.156  0.151
O  0.827  0.344  0.651
O  0.839  0.606  0.151
O  0.839  0.894  0.651
O  0.877  0.656  0.348
O  0.877  0.844  0.848
O  0.907  0.159  0.422
O  0.907  0.341  0.922
O  0.998  0.074  0.828
O  0.998  0.426  0.328

Most intense lines, 5 to 70 degrees two-theta, low angle first:
| d/Å | Position (°2θ) | I (rel.) |
| --- | --- | --- |
| 4.307 | 20.62 | 76 |
| 4.201 | 21.15 | 100 |
| 3.938 | 22.58 | 69 |
| 3.675 | 24.22 | 41 |
| 3.619 | 24.60 | 45 |
| 3.426 | 26.01 | 42 |
| 3.205 | 27.84 | 63 |
| 3.140 | 28.42 | 34 |
| 3.070 | 29.08 | 29 |
| 2.992 | 29.87 | 21 |